This entry pairs a crystal structure of SmHfNb with its calculated X-ray diffraction stick pattern. Radiation: a wavelength of 1.5418 Å. Structure: a structure optimized by DFT (PBE).
Intensities are scaled so that the largest is 100.

Structural model:
```
data_SmHfNb
_chemical_formula_sum 'Sm6 Hf6 Nb6'
_symmetry_space_group_name_H-M 'R -3 m'
_symmetry_Int_Tables_number 166
_symmetry_space_group_name_Hall '-R 3 2"'
_cell_length_a 3.3140
_cell_length_b 3.3140
_cell_length_c 45.8397
_cell_angle_alpha 90.00
_cell_angle_beta 90.00
_cell_angle_gamma 120.00
loop_
_atom_site_label
_atom_site_type_symbol
_atom_site_fract_x
_atom_site_fract_y
_atom_site_fract_z
_atom_site_occupancy
Sm1 Sm 0.0000 0.0000 0.1311 1
Hf1 Hf 0.0000 0.0000 0.4043 1
Nb1 Nb 0.0000 0.0000 0.3119 1
```

Peak list (12 most intense, 2θ = 10–80°, by intensity)
2theta  intensity  h k l
38.07  100  0 1 11
32.15  78  1 0 4
34.11  56  1 0 7
55.45  39  1 1 0
29.22  31  0 0 15
36.95  24  1 0 10
54.42  23  1 0 22
63.91  21  1 1 15
69.25  17  2 0 11
71.48  14  1 1 21
65.58  13  0 2 4
41.36  12  0 0 21



This entry pairs a crystal structure of KGaAg2F8 with its calculated X-ray diffraction stick pattern. Radiation: a wavelength of 1.5418 Å. Structure: a structure optimized by DFT (PBE).
Intensities are scaled so that the largest is 100.

Structural model:
```
data_KGaAg2F8
_chemical_formula_sum 'K1 Ga1 Ag2 F8'
_symmetry_space_group_name_H-M 'P -1'
_symmetry_Int_Tables_number 2
_symmetry_space_group_name_Hall '-P 1'
_cell_length_a 4.9015
_cell_length_b 5.3097
_cell_length_c 7.3729
_cell_angle_alpha 78.30
_cell_angle_beta 83.30
_cell_angle_gamma 87.77
loop_
_atom_site_label
_atom_site_type_symbol
_atom_site_fract_x
_atom_site_fract_y
_atom_site_fract_z
_atom_site_occupancy
K1 K 0.0000 0.0000 0.0000 1
Ga1 Ga 0.0000 0.0000 0.5000 1
Ag1 Ag 0.4128 0.4842 0.2419 1
F1 F 0.1103 0.7616 0.7072 1
F2 F 0.2053 0.8189 0.3220 1
F3 F 0.3064 0.2261 0.4952 1
F4 F 0.4828 0.2676 0.0167 1
```

Peak list (12 most intense, 2θ = 10–80°, by intensity)
2theta  intensity  h k l
24.86  100  1 1 0
25.26  89  1 -1 0
27.24  67  0 1 2
20.88  60  1 0 1
33.05  50  0 1 -2
44.41  35  -1 2 2
29.24  30  1 0 2
50.93  25  0 0 4
40.26  24  2 1 1
50.00  22  1 -2 2
37.69  22  2 0 1
51.79  20  1 2 -2



This entry pairs a crystal structure of Tb3Pm3Nd5 with its calculated X-ray diffraction stick pattern. Radiation: a wavelength of 1.5418 Å. Structure: a structure optimized by DFT (PBE).
Intensities are scaled so that the largest is 100.

Structural model:
```
data_Tb3Pm3Nd5
_chemical_formula_sum 'Tb3 Pm3 Nd5'
_symmetry_space_group_name_H-M 'P -6 2 m'
_symmetry_Int_Tables_number 189
_symmetry_space_group_name_Hall 'P -6 -2'
_cell_length_a 11.4049
_cell_length_b 11.4049
_cell_length_c 3.4692
_cell_angle_alpha 90.00
_cell_angle_beta 90.00
_cell_angle_gamma 120.00
loop_
_atom_site_label
_atom_site_type_symbol
_atom_site_fract_x
_atom_site_fract_y
_atom_site_fract_z
_atom_site_occupancy
Tb1 Tb 0.0000 0.8408 0.0000 1
Pm1 Pm 0.0000 0.5973 0.5000 1
Nd1 Nd 0.0000 0.3384 0.0000 1
Nd2 Nd 0.3333 0.6667 0.0000 1
```

Peak list (12 most intense, 2θ = 10–80°, by intensity)
2theta  intensity  h k l
32.69  100  3 1 0
30.15  91  1 1 1
40.97  83  2 2 1
27.08  83  3 0 0
35.32  75  2 1 1
47.93  52  3 2 1
62.45  42  6 0 1
23.84  37  2 1 0
31.37  35  2 2 0
55.88  33  6 0 0
63.48  30  3 1 2
25.68  29  0 0 1



This entry pairs a crystal structure of Ca2Ac6Dy with its calculated X-ray diffraction stick pattern. Radiation: a wavelength of 1.5418 Å. Structure: a structure optimized by DFT (PBE).
Intensities are scaled so that the largest is 100.

Structural model:
```
data_Ca2Ac6Dy
_chemical_formula_sum 'Ca2 Ac6 Dy1'
_symmetry_space_group_name_H-M 'P -6 m 2'
_symmetry_Int_Tables_number 187
_symmetry_space_group_name_Hall 'P -6 2'
_cell_length_a 3.9145
_cell_length_b 3.9145
_cell_length_c 29.2779
_cell_angle_alpha 90.00
_cell_angle_beta 90.00
_cell_angle_gamma 120.00
loop_
_atom_site_label
_atom_site_type_symbol
_atom_site_fract_x
_atom_site_fract_y
_atom_site_fract_z
_atom_site_occupancy
Ca1 Ca 0.0000 0.0000 0.1733 1
Ac1 Ac 0.0000 0.0000 0.3981 1
Ac2 Ac 0.6667 0.3333 0.0637 1
Ac3 Ac 0.6667 0.3333 0.2856 1
Dy1 Dy 0.6667 0.3333 0.5000 1
```

Peak list (12 most intense, 2θ = 10–80°, by intensity)
2theta  intensity  h k l
30.47  100  1 0 5
26.29  48  1 0 0
29.03  47  1 0 4
27.42  36  0 0 9
54.73  32  1 1 9
46.39  32  1 1 0
38.35  31  1 0 9
51.33  31  1 0 14
56.54  24  2 0 5
76.05  21  2 1 5
26.47  19  1 0 1
18.18  12  0 0 6



This entry pairs a crystal structure of TbBe17Os with its calculated X-ray diffraction stick pattern. Radiation: a wavelength of 1.5418 Å. Structure: a structure optimized by DFT (PBE).
Intensities are scaled so that the largest is 100.

Structural model:
```
data_TbBe17Os
_chemical_formula_sum 'Tb3 Be51 Os3'
_symmetry_space_group_name_H-M 'R 3 m'
_symmetry_Int_Tables_number 160
_symmetry_space_group_name_Hall 'R 3 -2"'
_cell_length_a 7.4851
_cell_length_b 7.4851
_cell_length_c 10.8709
_cell_angle_alpha 90.00
_cell_angle_beta 90.00
_cell_angle_gamma 120.00
loop_
_atom_site_label
_atom_site_type_symbol
_atom_site_fract_x
_atom_site_fract_y
_atom_site_fract_z
_atom_site_occupancy
Tb1 Tb 0.0000 0.0000 0.0000 1
Be1 Be 0.0000 0.0000 0.2504 1
Be2 Be 0.0000 0.0000 0.4431 1
Be3 Be 0.0048 0.5024 0.8407 1
Be4 Be 0.0092 0.2978 0.3415 1
Be5 Be 0.0137 0.5069 0.4955 1
Be6 Be 0.0170 0.5085 0.1902 1
Os1 Os 0.0000 0.0000 0.6663 1
```

Peak list (12 most intense, 2θ = 10–80°, by intensity)
2theta  intensity  h k l
23.77  100  1 1 0
34.45  90  1 1 3
15.92  60  1 0 1
49.09  43  3 0 3
21.33  35  0 1 2
24.57  32  0 0 3
41.81  31  3 0 0
71.61  23  1 4 3
48.66  23  2 2 0
56.42  18  1 1 6
28.74  18  0 2 1
37.63  17  2 1 1



This entry pairs a crystal structure of NdHo6Tm4 with its calculated X-ray diffraction stick pattern. Radiation: a wavelength of 1.5418 Å. Structure: a structure optimized by DFT (PBE).
Intensities are scaled so that the largest is 100.

Structural model:
```
data_NdHo6Tm4
_chemical_formula_sum 'Nd4 Ho24 Tm16'
_symmetry_space_group_name_H-M 'C m c m'
_symmetry_Int_Tables_number 63
_symmetry_space_group_name_Hall '-C 2c 2'
_cell_length_a 5.6186
_cell_length_b 9.6251
_cell_length_c 25.5268
_cell_angle_alpha 90.00
_cell_angle_beta 90.00
_cell_angle_gamma 90.00
loop_
_atom_site_label
_atom_site_type_symbol
_atom_site_fract_x
_atom_site_fract_y
_atom_site_fract_z
_atom_site_occupancy
Nd1 Nd 0.0000 0.1767 0.2500 1
Ho1 Ho 0.0000 0.1553 0.6803 1
Ho2 Ho 0.0000 0.1773 0.1010 1
Ho3 Ho 0.0000 0.4895 0.7500 1
Ho4 Ho 0.0000 0.5000 0.0000 1
Tm1 Tm 0.0000 0.1627 0.5417 1
Tm2 Tm 0.0000 0.4871 0.6213 1
```

Peak list (12 most intense, 2θ = 10–80°, by intensity)
2theta  intensity  h k l
32.13  100  1 3 0
30.70  100  0 2 7
31.85  53  2 0 0
33.64  49  1 1 8
44.87  27  2 2 7
56.93  20  3 3 0
56.48  15  1 5 7
60.70  14  1 3 14
67.20  12  2 6 0
56.02  11  3 1 7
57.43  11  0 6 0
47.05  10  2 2 8